Structure and simulated X-ray diffraction stick pattern of LiMn8O16 (a PBE+U-relaxed structure; Cu Kα).
Intensities are scaled so that the largest is 100.

Cell and atoms:
Lattice parameters (Å, degrees): 5.8886 5.8886 8.2639 90.00 90.00 90.00
Fractional coordinates of all 25 atoms:
Li 0.0000 0.0000 0.0000
Mn 0.0000 0.2502 0.6240
Mn 0.0000 0.7498 0.6240
Mn 0.2502 0.0000 0.3760
Mn 0.2520 0.5000 0.8748
Mn 0.5000 0.2520 0.1252
Mn 0.5000 0.7480 0.1252
Mn 0.7480 0.5000 0.8748
Mn 0.7498 0.0000 0.3760
O 0.0000 0.2180 0.3897
O 0.0000 0.2755 0.8612
O 0.0000 0.7245 0.8612
O 0.0000 0.7820 0.3897
O 0.2171 0.5000 0.6402
O 0.2180 0.0000 0.6103
O 0.2755 0.0000 0.1388
O 0.2788 0.5000 0.1091
O 0.5000 0.2171 0.3598
O 0.5000 0.2788 0.8909
O 0.5000 0.7212 0.8909
O 0.5000 0.7829 0.3598
O 0.7212 0.5000 0.1091
O 0.7245 0.0000 0.1388
O 0.7820 0.0000 0.6103
O 0.7829 0.5000 0.6402

Principal peaks in the range 2θ = 10–80°, low angle first:
| Position (°2θ) | I_rel | h k l |
| --- | --- | --- |
| 18.50 | 100 | 1 0 1 |
| 35.79 | 24 | 2 1 1 |
| 35.99 | 12 | 1 0 3 |
| 37.51 | 9 | 2 0 2 |
| 43.47 | 34 | 2 2 0 |
| 43.82 | 16 | 0 0 4 |
| 47.78 | 6 | 2 1 3 |
| 57.52 | 11 | 3 2 1 |
| 63.16 | 9 | 4 0 0 |
| 63.43 | 18 | 2 2 4 |